(1)
Theoretical XRD peak list of DyBr2 for Cu Kα, from a structure optimized by DFT (PBE).
Kinematic intensities with the Lorentz-polarization factor, no thermal factor.

The 12 most intense peaks (2θ from 15° to 90°), by angle:
2θ (°)	intensity
18.94	43
22.34	100
27.72	37
30.20	100
32.74	74
33.97	92
36.14	35
37.77	47
38.36	50
40.23	33
41.53	38
43.11	52

Crystal structure
Unit cell a=6.6377 b=13.0503 c=7.6752 alpha=90.00 beta=90.00 gamma=90.00
Fractional coordinates of all 24 atoms:
Dy 0.1556 0.0979 0.0483
Dy 0.1556 0.4021 0.5483
Dy 0.3444 0.5979 0.0483
Dy 0.3444 0.9021 0.5483
Dy 0.6556 0.0979 0.4517
Dy 0.6556 0.4021 0.9517
Dy 0.8444 0.5979 0.4517
Dy 0.8444 0.9021 0.9517
Br 0.0228 0.0404 0.7011
Br 0.0228 0.4596 0.2011
Br 0.2169 0.7092 0.3737
Br 0.2169 0.7908 0.8737
Br 0.2831 0.2092 0.3737
Br 0.2831 0.2908 0.8737
Br 0.4772 0.5404 0.7011
Br 0.4772 0.9596 0.2011
Br 0.5228 0.0404 0.7989
Br 0.5228 0.4596 0.2989
Br 0.7169 0.7092 0.1263
Br 0.7169 0.7908 0.6263
Br 0.7831 0.2092 0.1263
Br 0.7831 0.2908 0.6263
Br 0.9772 0.5404 0.7989
Br 0.9772 0.9596 0.2989

---

(2)
Theoretical XRD peak list of MgZn2Te2F2 for Cu Kα, from a structure optimized by DFT (PBE).
Kinematic intensities with the Lorentz-polarization factor, no thermal factor.

The 12 most intense peaks (2θ from 15° to 90°), by angle:
2θ (°)	intensity
19.15	39
25.40	49
30.48	100
33.46	67
37.57	72
38.83	80
45.91	26
48.04	46
55.14	29
57.97	31
60.76	19
62.53	31

Crystal structure
Unit cell a=3.7876 b=3.7876 c=9.2700 alpha=90.00 beta=90.00 gamma=90.00
Fractional coordinates of all 7 atoms:
Mg 0.0000 0.0000 0.0000
Zn 0.0000 0.5000 0.3654
Zn 0.5000 0.0000 0.6346
Te 0.0000 0.5000 0.7845
Te 0.5000 0.0000 0.2155
F 0.0000 0.0000 0.5000
F 0.5000 0.5000 0.5000

---

(3)
Theoretical XRD peak list of ZrGeTeSe3 for Cu Kα, from a structure optimized by DFT (PBE).
Kinematic intensities with the Lorentz-polarization factor, no thermal factor.

The 12 most intense peaks (2θ from 15° to 90°), by angle:
2θ (°)	intensity
23.82	27
26.85	28
28.81	63
29.97	92
32.67	57
33.23	100
34.43	26
37.72	70
44.11	27
44.61	31
46.46	22
47.61	38

Crystal structure
Unit cell a=8.1738 b=8.1738 c=10.9639 alpha=90.00 beta=90.00 gamma=152.97
Fractional coordinates of all 12 atoms:
Zr 0.1567 0.8433 0.5000
Zr 0.8433 0.1567 0.0000
Ge 0.2741 0.7259 0.2988
Ge 0.7259 0.2741 0.7988
Te 0.2090 0.7910 0.0706
Te 0.7910 0.2090 0.5706
Se 0.1255 0.8745 0.7591
Se 0.3987 0.6013 0.8331
Se 0.4675 0.5325 0.0261
Se 0.5325 0.4675 0.5261
Se 0.6013 0.3987 0.3331
Se 0.8745 0.1255 0.2591

---

(4)
Theoretical XRD peak list of Y2TmCu4Si4 for Cu Kα, from a structure optimized by DFT (PBE).
Kinematic intensities with the Lorentz-polarization factor, no thermal factor.

The 12 most intense peaks (2θ from 15° to 90°), by angle:
2θ (°)	intensity
23.88	11
28.78	27
29.25	15
35.74	100
36.90	71
39.66	20
43.92	29
46.37	30
48.85	11
57.83	12
59.69	13
65.77	20

Crystal structure
Unit cell a=7.8306 b=7.8306 c=7.8306 alpha=149.47 beta=130.87 gamma=58.95
Fractional coordinates of all 11 atoms:
Y 0.1291 0.1291 0.0000
Y 0.8709 0.8709 0.0000
Tm 0.5000 0.0000 0.5000
Cu 0.1408 0.3311 0.8098
Cu 0.4787 0.6689 0.8098
Cu 0.5213 0.3311 0.1902
Cu 0.8592 0.6689 0.1902
Si 0.1867 0.5000 0.6867
Si 0.2842 0.7842 0.5000
Si 0.7158 0.2158 0.5000
Si 0.8133 0.5000 0.3133

---

Q: Number 1 is which compound?
A: DyBr2